Structure and theoretical X-ray diffraction stick pattern of K2NaCeI6 (DFT lattice parameters and positions (PBE); copper Kα).

Structure:
```
data_K2NaCeI6
_space_group_name_H-M_alt 'F m -3 m'
_space_group_IT_number 225
_space_group_name_Hall '-F 4 2 3'
_cell_length_a 12.468
_cell_length_b 12.468
_cell_length_c 12.468
_cell_angle_alpha 90.00
_cell_angle_beta 90.00
_cell_angle_gamma 90.00
loop_
_atom_site_label
_atom_site_fract_x
_atom_site_fract_y
_atom_site_fract_z
K1 0.250 0.250 0.250
Na1 0.000 0.000 0.000
Ce1 0.000 0.000 0.500
I1 0.000 0.000 0.250
```

Principal peaks in the range 5 to 70 degrees two-theta, in order of rising 2θ:
Position (°2θ)  Rel. int.
12.30  12.7
14.21  57.6
24.74  88.0
28.64  100.0
32.10  32.7
40.95  74.6
43.55  17.8
48.43  40.7
50.73  26.3
59.29  12.2
65.24  16.4
67.15  33.5


Structure and theoretical X-ray diffraction stick pattern of Rb2LiCeI6 (DFT lattice parameters and positions (PBE); copper Kα).

Structure:
```
data_Rb2LiCeI6
_space_group_name_H-M_alt 'F m -3 m'
_space_group_IT_number 225
_space_group_name_Hall '-F 4 2 3'
_cell_length_a 12.196
_cell_length_b 12.196
_cell_length_c 12.196
_cell_angle_alpha 90.00
_cell_angle_beta 90.00
_cell_angle_gamma 90.00
loop_
_atom_site_label
_atom_site_fract_x
_atom_site_fract_y
_atom_site_fract_z
Rb1 0.250 0.250 0.250
Li1 0.000 0.000 0.000
Ce1 0.000 0.000 0.500
I1 0.000 0.000 0.244
```

Principal peaks in the range 5 to 70 degrees two-theta, in order of rising 2θ:
Position (°2θ)  Rel. int.
12.57  9.1
14.53  22.6
24.20  11.2
25.30  100.0
29.29  96.3
32.84  12.0
41.90  71.4
49.58  45.7
51.94  25.1
60.75  11.6
66.88  18.2
68.85  31.9


Structure and theoretical X-ray diffraction stick pattern of NaCe4I7N2 (DFT lattice parameters and positions (PBE); copper Kα).

Structure:
```
data_NaCe4I7N2
_space_group_name_H-M_alt 'P 1 21 1'
_space_group_IT_number 4
_cell_length_a 11.180
_cell_length_b 11.926
_cell_length_c 14.331
_cell_angle_alpha 90.00
_cell_angle_beta 90.17
_cell_angle_gamma 90.00
loop_
_space_group_symop_operation_xyz
'x,y,z'
'-x,y+1/2,-z'
loop_
_atom_site_label
_atom_site_fract_x
_atom_site_fract_y
_atom_site_fract_z
Na1 0.047 0.000 0.094
Na2 0.453 0.000 0.593
Ce1 0.086 0.430 0.399
Ce2 0.104 0.193 0.588
Ce3 0.121 0.937 0.413
Ce4 0.124 0.672 0.586
Ce5 0.377 0.673 0.085
Ce6 0.379 0.936 0.913
Ce7 0.396 0.193 0.088
Ce8 0.414 0.430 0.899
I1 0.073 0.213 0.251
I2 0.100 0.420 0.735
I3 0.130 0.662 0.275
I4 0.152 0.792 0.982
I5 0.182 0.139 0.948
I6 0.184 0.951 0.701
I7 0.189 0.461 0.029
I8 0.312 0.461 0.529
I9 0.316 0.951 0.201
I10 0.318 0.140 0.448
I11 0.349 0.792 0.482
I12 0.369 0.662 0.775
I13 0.401 0.420 0.235
I14 0.426 0.213 0.751
N1 0.003 0.058 0.503
N2 0.013 0.807 0.504
N3 0.487 0.807 0.003
N4 0.496 0.058 0.003
```

Principal peaks in the range 5 to 70 degrees two-theta, in order of rising 2θ:
Position (°2θ)  Rel. int.
10.03  32.0
26.86  15.9
28.01  7.4
28.24  14.6
28.78  100.0
29.97  21.1
30.35  8.6
30.93  14.5
31.68  10.4
32.02  12.3
48.86  7.6
52.49  11.9


Structure and theoretical X-ray diffraction stick pattern of CeI3O9 (DFT lattice parameters and positions (PBE); copper Kα).

Structure:
```
data_CeI3O9
_space_group_name_H-M_alt 'P m m n'
_space_group_IT_number 59
_cell_length_a 6.077
_cell_length_b 11.867
_cell_length_c 6.314
_cell_angle_alpha 90.00
_cell_angle_beta 90.00
_cell_angle_gamma 90.00
loop_
_space_group_symop_operation_xyz
'x,y,z'
'-x,-y,-z'
'-x+1/2,-y+1/2,z'
'x+1/2,y+1/2,-z'
'x+1/2,-y,-z'
'-x+1/2,y,z'
'-x,y+1/2,-z'
'x,-y+1/2,z'
loop_
_atom_site_label
_atom_site_fract_x
_atom_site_fract_y
_atom_site_fract_z
Ce1 0.250 0.250 0.230
I1 0.250 0.511 0.778
I2 0.250 0.750 0.282
O1 0.012 0.750 0.458
O2 0.023 0.605 0.858
O3 0.250 0.250 0.934
O4 0.250 0.513 0.491
```

Principal peaks in the range 5 to 70 degrees two-theta, in order of rising 2θ:
Position (°2θ)  Rel. int.
25.28  100.0
28.27  13.5
29.39  14.8
30.12  18.0
41.24  11.3
41.78  8.2
42.59  16.1
48.26  14.7
49.70  15.1
50.64  13.6
51.91  12.4
66.73  7.8


Structure and theoretical X-ray diffraction stick pattern of CeI3O9 (DFT lattice parameters and positions (PBE); copper Kα).

Structure:
```
data_CeI3O9
_space_group_name_H-M_alt 'P 1 21/c 1'
_space_group_IT_number 14
_cell_length_a 8.971
_cell_length_b 6.062
_cell_length_c 17.060
_cell_angle_alpha 90.00
_cell_angle_beta 115.06
_cell_angle_gamma 90.00
loop_
_space_group_symop_operation_xyz
'x,y,z'
'-x,-y,-z'
'-x,y+1/2,-z+1/2'
'x,-y+1/2,z+1/2'
loop_
_atom_site_label
_atom_site_fract_x
_atom_site_fract_y
_atom_site_fract_z
Ce1 0.138 0.233 0.099
I1 0.069 0.188 0.351
I2 0.360 0.637 0.523
I3 0.416 0.590 0.802
O1 0.063 0.051 0.702
O2 0.092 0.094 0.459
O3 0.095 0.606 0.671
O4 0.134 0.601 0.490
O5 0.332 0.586 0.883
O6 0.343 0.183 0.254
O7 0.358 0.086 0.946
O8 0.370 0.001 0.632
O9 0.402 0.032 0.119
```

Principal peaks in the range 5 to 70 degrees two-theta, in order of rising 2θ:
Position (°2θ)  Rel. int.
20.50  23.7
22.65  48.2
25.56  100.0
26.41  78.2
29.50  39.2
31.17  24.4
31.29  24.9
31.50  16.8
42.46  24.3
45.10  17.5
49.51  23.5
50.98  17.9


Structure and theoretical X-ray diffraction stick pattern of Ce3PI3 (DFT lattice parameters and positions (PBE); copper Kα).

Structure:
```
data_Ce3PI3
_space_group_name_H-M_alt 'I 41 3 2'
_space_group_IT_number 214
_space_group_name_Hall 'I 4bd 2c 3'
_cell_length_a 12.201
_cell_length_b 12.201
_cell_length_c 12.201
_cell_angle_alpha 90.00
_cell_angle_beta 90.00
_cell_angle_gamma 90.00
loop_
_atom_site_label
_atom_site_fract_x
_atom_site_fract_y
_atom_site_fract_z
Ce1 0.108 0.358 0.125
P1 0.125 0.125 0.125
I1 0.115 0.135 0.625
```

Principal peaks in the range 5 to 70 degrees two-theta, in order of rising 2θ:
Position (°2θ)  Rel. int.
10.25  4.9
17.81  8.9
27.35  39.5
29.28  100.0
34.48  23.2
41.88  68.7
50.75  4.4
51.92  22.3
55.33  18.8
59.67  15.4
60.73  9.5
68.82  23.9